Theoretical powder X-ray diffraction pattern of Ba5B4O10F2 for a wavelength of 1.5418 Å, from a DFT-relaxed cell (PBE, the Materials Project).
Lines closer than 0.1° are merged.

Top 12 peaks for 10 to 90 degrees two-theta, low angle first:
2θ = 23.95°, rel. 71
2θ = 24.59°, rel. 100
2θ = 25.90°, rel. 49
2θ = 26.81°, rel. 98
2θ = 27.85°, rel. 90
2θ = 30.86°, rel. 43
2θ = 31.36°, rel. 53
2θ = 32.39°, rel. 44
2θ = 33.23°, rel. 52
2θ = 44.27°, rel. 39
2θ = 44.83°, rel. 51
2θ = 46.32°, rel. 50

Cell and atoms:
a b c (Å): 21.032 7.199 8.734
angles (deg): 90.00 95.26 90.00
Space group C2/c (No. 15)
Symmetry-distinct sites (fractional):
1 Ba 0.000 0.055 0.250
2 Ba 0.085 0.384 0.608
3 Ba 0.200 0.113 0.305
4 B 0.094 0.182 0.994
5 B 0.188 0.368 0.917
6 O 0.041 0.265 0.919
7 O 0.096 0.001 0.042
8 O 0.150 0.298 0.034
9 O 0.187 0.264 0.785
10 O 0.220 0.469 0.443
11 F 0.080 0.325 0.305